For PmV2AgO7, a crystal structure in Alexandria, relaxed with GGA+U gives the calculated powder XRD pattern in this record (Cu Kα).
Kinematic intensities with the Lorentz-polarization factor, no thermal factor.

Structural model:
```
data_PmV2AgO7
_cell_length_a 3.6652
_cell_length_b 3.6652
_cell_length_c 10.5871
_cell_angle_alpha 90.00
_cell_angle_beta 90.00
_cell_angle_gamma 90.00
_space_group_name_H-M_alt 'P 1'
_space_group_IT_number 1
loop_
_space_group_symop_operation_xyz
'x,y,z'
loop_
_atom_site_label
_atom_site_type_symbol
_atom_site_fract_x
_atom_site_fract_y
_atom_site_fract_z
Pm1 Pm 0.0000 0.0000 0.0000
V1 V 0.5000 0.5000 0.2144
V2 V 0.5000 0.5000 0.7856
Ag1 Ag 0.0000 0.0000 0.5000
O1 O 0.0000 0.5000 0.1764
O2 O 0.0000 0.5000 0.8236
O3 O 0.5000 0.0000 0.1764
O4 O 0.5000 0.0000 0.8236
O5 O 0.5000 0.5000 0.0000
O6 O 0.5000 0.5000 0.3735
O7 O 0.5000 0.5000 0.6265
```

Most intense lines, 2θ from 10° to 90°, sorted by position:
two_theta  Rel. int.
16.7  17
29.6  100
33.9  13
34.6  35
38.7  22
42.1  16
49.2  22
49.8  23
58.0  9
59.0  27